Structure and computed X-ray diffraction stick pattern of HoSc2RhO (a GGA-PBE-relaxed structure; Cu Kα X-rays).

```
HoSc2RhO
1.0
4.2719 0.0000 0.0000
0.0000 4.2719 0.0000
0.0000 0.0000 4.8457
Ho Sc Rh O
1 2 1 1
direct
0.0000 0.0000 0.0000
0.0000 0.5000 0.4902
0.5000 0.0000 0.4902
0.5000 0.5000 0.0449
0.0000 0.0000 0.5098
```

Largest 12 diffraction maxima, in order of falling intensity, 10 to 80 degrees two-theta:
2theta	intensity	h k l
35.0	100.0	1 1 1
42.3	35.7	2 0 0
18.3	26.9	0 0 1
29.6	26.1	1 1 0
57.5	25.8	2 0 2
37.1	24.2	0 0 2
72.7	23.1	3 1 1
65.5	13.6	1 1 3
61.4	13.6	2 2 0
48.1	13.4	1 1 2
74.0	11.9	2 2 2
46.5	11.0	2 0 1